The following is a calculated powder diffraction line list of FeCo4Ir2. It was derived from the PBE geometry in Alexandria, using a wavelength of 1.5418 Å.
Kinematic intensities with the Lorentz-polarization factor, no thermal factor.

Top 10 peaks for 10° ≤ 2θ ≤ 90°, low angle first:
- 24.9°, d 3.575, rel. 20.9
- 28.5°, d 3.137, rel. 32.8
- 30.6°, d 2.926, rel. 99.9
- 42.4°, d 2.134, rel. 49.4
- 44.6°, d 2.034, rel. 100.0
- 46.8°, d 1.942, rel. 89.2
- 53.1°, d 1.724, rel. 42.9
- 76.1°, d 1.250, rel. 22.8
- 79.0°, d 1.212, rel. 17.8
- 80.6°, d 1.192, rel. 17.8

Structure:
Cell lengths 6.5431, 6.5431, 4.2678 Å; angles 90.00, 90.00, 90.00 degrees
Space group P4_2/mnm (No. 136)
Inequivalent atoms, fractional coordinates:
Fe 0.0000 0.0000 0.0000 (multiplicity 2)
Co 0.0908 0.3552 0.0000 (multiplicity 8)
Ir 0.1610 0.1610 0.5000 (multiplicity 4)


The following is a calculated powder diffraction line list of CaNi3Sn. It was derived from the PBE geometry in Alexandria, using a wavelength of 1.5418 Å.
Kinematic intensities with the Lorentz-polarization factor, no thermal factor.

Top 10 peaks for 10° ≤ 2θ ≤ 90°, low angle first:
- 15.1°, d 5.856, rel. 70.3
- 20.6°, d 4.317, rel. 100.0
- 27.5°, d 3.248, rel. 40.8
- 29.8°, d 2.995, rel. 19.5
- 40.8°, d 2.211, rel. 23.3
- 41.8°, d 2.159, rel. 80.1
- 42.2°, d 2.140, rel. 32.4
- 44.4°, d 2.041, rel. 67.3
- 50.3°, d 1.814, rel. 54.5
- 87.0°, d 1.120, rel. 19.7

Structure:
Cell lengths 5.3620, 9.8585, 7.2800 Å; angles 90.00, 90.00, 90.00 degrees
Space group Imma (No. 74)
Inequivalent atoms, fractional coordinates:
Ca 0.0000 0.2500 0.0846 (multiplicity 4)
Ni 0.0000 0.2500 0.5395 (multiplicity 4)
Ni 0.2500 0.1227 0.7500 (multiplicity 8)
Sn 0.0000 0.0000 0.5000 (multiplicity 4)


The following is a calculated powder diffraction line list of Ta9Co2S6. It was derived from the PBE geometry in Alexandria, using a wavelength of 1.5418 Å.
Kinematic intensities with the Lorentz-polarization factor, no thermal factor.

Top 10 peaks for 10° ≤ 2θ ≤ 90°, low angle first:
- 26.5°, d 3.360, rel. 20.3
- 33.4°, d 2.679, rel. 58.9
- 36.4°, d 2.467, rel. 59.9
- 37.9°, d 2.375, rel. 100.0
- 40.6°, d 2.223, rel. 56.3
- 44.4°, d 2.039, rel. 44.5
- 54.7°, d 1.679, rel. 24.7
- 64.6°, d 1.442, rel. 22.6
- 67.5°, d 1.388, rel. 20.1
- 70.3°, d 1.340, rel. 18.1

Structure:
Cell lengths 10.2697, 10.2697, 3.3570 Å; angles 90.00, 90.00, 120.00 degrees
Space group P-62m (No. 189)
Inequivalent atoms, fractional coordinates:
Ta 0.0000 0.4557 0.0000 (multiplicity 3)
Ta 0.2007 0.7374 0.5000 (multiplicity 6)
Co 0.3333 0.6667 0.0000 (multiplicity 2)
S 0.0000 0.2727 0.5000 (multiplicity 3)
S 0.0000 0.7039 0.0000 (multiplicity 3)